Starting from a DFT-relaxed cell (PBE, Alexandria), the powder diffraction line list of NdMg3Pd was calculated for Cu Kα (weighted mean of Kα1 and Kα2).
Intensities are scaled so that the largest is 100.

The 10 most intense peaks (2θ = 10–90°), low angle first:
| hkl | 2θ (°) | I (rel.) |
| --- | --- | --- |
| 1 1 0 | 12.46 | 48 |
| 0 0 1 | 20.56 | 81 |
| 2 2 0 | 25.08 | 75 |
| 2 2 1 | 32.64 | 100 |
| 0 4 1 | 35.42 | 57 |
| 1 5 0 | 37.40 | 30 |
| 3 3 0 | 38.01 | 41 |
| 0 0 2 | 41.84 | 43 |
| 3 3 1 | 43.59 | 39 |
| 2 2 2 | 49.40 | 34 |

Structure:
a b c (Å): 8.625 12.520 4.320
angles (deg): 90.00 90.00 90.00
Space group Cmmm (No. 65)
Symmetry-distinct sites (fractional):
Nd1 0.000 0.210 0.000 [4 per cell]
Mg1 0.000 0.000 0.500 [2 per cell]
Mg2 0.000 0.500 0.000 [2 per cell]
Mg3 0.196 0.374 0.500 [8 per cell]
Pd1 0.189 0.000 0.000 [4 per cell]